Structure and calculated X-ray diffraction stick pattern of La5YMg6 (a structure optimized by DFT (GGA-PBE); Cu Kα).
Neutral-atom scattering factors, no anomalous dispersion.

Structural model:
a = 5.5596 Å, b = 7.8929 Å, c = 8.7945 Å
α = 90.00°, β = 108.37°, γ = 90.00°
Space group P2/m (No. 10)
Symmetry-distinct sites (fractional):
La: 0.0000 0.0000 0.0000 (multiplicity 1)
La: 0.3306 0.0000 0.6603 (multiplicity 2)
La: 0.3352 0.5000 0.6698 (multiplicity 2)
Y: 0.0000 0.5000 0.0000 (multiplicity 1)
Mg: 0.1633 0.2557 0.3272 (multiplicity 4)
Mg: 0.5000 0.2548 0.0000 (multiplicity 2)

Principal peaks in the range 5 to 70 degrees two-theta, in order of rising 2θ:
d/Å  2theta  I_rel
3.937  22.6  541
2.784  32.1  1000
2.273  39.6  167
1.973  46.0  61
1.966  46.2  120
1.763  51.9  116
1.759  52.0  114
1.609  57.3  188
1.606  57.4  187
1.393  67.2  76



Structure and calculated X-ray diffraction stick pattern of Cs3ReO4 (a structure optimized by DFT (GGA-PBE); Cu Kα).
Neutral-atom scattering factors, no anomalous dispersion.

Structural model:
a = 9.5450 Å, b = 6.8046 Å, c = 6.4137 Å
α = 90.00°, β = 90.00°, γ = 90.00°
Space group Pmn2_1 (No. 31)
Symmetry-distinct sites (fractional):
Cs: 0.0000 0.1848 0.0000 (multiplicity 2)
Cs: 0.2482 0.3044 0.4687 (multiplicity 4)
Re: 0.0000 0.7763 0.4422 (multiplicity 2)
O: 0.0000 0.0451 0.4597 (multiplicity 2)
O: 0.0000 0.5630 0.2649 (multiplicity 2)
O: 0.1859 0.7481 0.5131 (multiplicity 4)

Principal peaks in the range 5 to 70 degrees two-theta, in order of rising 2θ:
d/Å  2theta  I_rel
3.402  26.2  222
3.337  26.7  1000
3.207  27.8  299
3.006  29.7  132
2.386  37.7  138
2.334  38.6  157
1.953  46.5  168
1.914  47.5  120
1.876  48.5  170
1.506  61.6  112



Structure and calculated X-ray diffraction stick pattern of Li2CoAg (a structure optimized by DFT (GGA-PBE); Cu Kα).
Neutral-atom scattering factors, no anomalous dispersion.

Structural model:
a = 9.2001 Å, b = 2.6362 Å, c = 4.8167 Å
α = 90.00°, β = 97.93°, γ = 90.00°
Space group Cm (No. 8)
Symmetry-distinct sites (fractional):
Li: 0.0000 0.0000 0.0000 (multiplicity 2)
Li: 0.2378 0.0000 0.7379 (multiplicity 2)
Co: 0.4939 0.0000 0.4947 (multiplicity 2)
Ag: 0.2505 0.5000 0.2558 (multiplicity 2)

Principal peaks in the range 5 to 70 degrees two-theta, in order of rising 2θ:
d/Å  2theta  I_rel
4.771  18.6  1000
3.548  25.1  467
3.089  28.9  275
2.532  35.4  355
2.277  39.6  356
2.244  40.2  298
2.202  41.0  562
2.003  45.3  206
1.991  45.6  199
1.899  47.9  351



Structure and calculated X-ray diffraction stick pattern of Ho7Mg2Pt2 (a structure optimized by DFT (GGA-PBE); Cu Kα).
Neutral-atom scattering factors, no anomalous dispersion.

Structural model:
a = 8.2330 Å, b = 10.9379 Å, c = 7.1649 Å
α = 90.00°, β = 90.00°, γ = 90.00°
Space group Cmmm (No. 65)
Symmetry-distinct sites (fractional):
Ho: 0.0000 0.0000 0.0000 (multiplicity 2)
Ho: 0.0000 0.5000 0.2452 (multiplicity 4)
Ho: 0.2500 0.2500 0.2502 (multiplicity 8)
Mg: 0.1724 0.0000 0.5000 (multiplicity 4)
Pt: 0.0000 0.2852 0.0000 (multiplicity 4)

Principal peaks in the range 5 to 70 degrees two-theta, in order of rising 2θ:
d/Å  2theta  I_rel
7.165  12.4  609
5.469  16.2  279
3.572  24.9  411
3.289  27.1  471
3.146  28.4  264
2.734  32.8  509
2.702  33.2  340
2.440  36.8  404
2.423  37.1  1000
2.058  44.0  249



Structure and calculated X-ray diffraction stick pattern of Dy5Er2In4 (a structure optimized by DFT (GGA-PBE); Cu Kα).
Neutral-atom scattering factors, no anomalous dispersion.

Structural model:
a = 8.5862 Å, b = 3.4071 Å, c = 10.4992 Å
α = 90.00°, β = 96.02°, γ = 90.00°
Space group P2/m (No. 10)
Symmetry-distinct sites (fractional):
Dy: 0.0000 0.0000 0.0000 (multiplicity 1)
Dy: 0.0354 0.0000 0.3325 (multiplicity 2)
Dy: 0.3373 0.0000 0.8560 (multiplicity 2)
Er: 0.4158 0.0000 0.3606 (multiplicity 2)
In: 0.2544 0.5000 0.5755 (multiplicity 2)
In: 0.3010 0.5000 0.1180 (multiplicity 2)

Principal peaks in the range 5 to 70 degrees two-theta, in order of rising 2θ:
d/Å  2theta  I_rel
3.407  26.2  233
2.848  31.4  546
2.822  31.7  197
2.754  32.5  392
2.662  33.7  1000
2.610  34.4  210
2.571  34.9  508
2.436  36.9  439
2.185  41.3  221
1.550  59.7  219



Structure and calculated X-ray diffraction stick pattern of Pr2Sm5ErSc (a structure optimized by DFT (GGA-PBE); Cu Kα).
Neutral-atom scattering factors, no anomalous dispersion.

Structural model:
a = 5.4100 Å, b = 22.0481 Å, c = 10.1410 Å
α = 90.00°, β = 90.00°, γ = 90.00°
Space group Cmcm (No. 63)
Symmetry-distinct sites (fractional):
Pr: 0.0000 0.1162 0.0042 (multiplicity 8)
Sm: 0.0000 0.0003 0.2500 (multiplicity 4)
Sm: 0.0000 0.2773 0.0631 (multiplicity 8)
Sm: 0.0000 0.3725 0.7500 (multiplicity 4)
Sm: 0.0000 0.5000 0.0000 (multiplicity 4)
Er: 0.0000 0.3976 0.2500 (multiplicity 4)
Sc: 0.0000 0.2129 0.7500 (multiplicity 4)

Principal peaks in the range 5 to 70 degrees two-theta, in order of rising 2θ:
d/Å  2theta  I_rel
3.305  27.0  330
2.835  31.6  1000
2.756  32.5  137
2.705  33.1  299
2.535  35.4  142
1.931  47.1  98
1.865  48.8  85
1.849  49.3  127
1.586  58.2  174
1.542  60.0  118



Structure and calculated X-ray diffraction stick pattern of ErSc2Ru3 (a structure optimized by DFT (GGA-PBE); Cu Kα).
Neutral-atom scattering factors, no anomalous dispersion.

Structural model:
a = 3.2721 Å, b = 3.2721 Å, c = 9.7389 Å
α = 90.00°, β = 90.00°, γ = 90.00°
Space group P4/mmm (No. 123)
Symmetry-distinct sites (fractional):
Er: 0.0000 0.0000 0.0000 (multiplicity 1)
Sc: 0.0000 0.0000 0.3380 (multiplicity 2)
Ru: 0.5000 0.5000 0.1768 (multiplicity 2)
Ru: 0.5000 0.5000 0.5000 (multiplicity 1)

Principal peaks in the range 5 to 70 degrees two-theta, in order of rising 2θ:
d/Å  2theta  I_rel
9.739  9.1  254
4.869  18.2  55
3.102  28.8  120
2.716  33.0  109
2.314  38.9  513
2.305  39.1  1000
2.251  40.1  35
1.677  54.7  32
1.636  56.2  171
1.623  56.7  79



Structure and calculated X-ray diffraction stick pattern of ScNbMo (a structure optimized by DFT (GGA-PBE); Cu Kα).
Neutral-atom scattering factors, no anomalous dispersion.

Structural model:
a = 3.3292 Å, b = 3.3292 Å, c = 10.2493 Å
α = 90.00°, β = 90.00°, γ = 90.00°
Space group I4mm (No. 107)
Symmetry-distinct sites (fractional):
Sc: 0.0000 0.0000 0.0000 (multiplicity 2)
Nb: 0.0000 0.0000 0.3037 (multiplicity 2)
Mo: 0.0000 0.0000 0.6771 (multiplicity 2)

Principal peaks in the range 5 to 70 degrees two-theta, in order of rising 2θ:
d/Å  2theta  I_rel
5.125  17.3  295
2.384  37.7  1000
2.354  38.2  544
2.139  42.2  122
1.746  52.4  140
1.708  53.7  58
1.665  55.2  179
1.583  58.3  47
1.383  67.8  111
1.365  68.8  318